The following is a simulated powder diffraction line list of Hf4BiMo. It was derived from DFT lattice parameters and positions (PBE), using λ = 1.5418 Å (Cu Kα).
Neutral-atom scattering factors, no anomalous dispersion.

Main lines, by angle (5 to 70 degrees two-theta):
31.94 deg, rel. 37
32.54 deg, rel. 55
33.60 deg, rel. 100
35.98 deg, rel. 99
36.86 deg, rel. 31
37.42 deg, rel. 32
38.20 deg, rel. 44
38.67 deg, rel. 48
59.24 deg, rel. 24
69.92 deg, rel. 29

Atomic structure:
```
Hf4BiMo
1.0
4.1477 -6.1782 0.0000
4.1477 6.1782 0.0000
-1.9265 0.0000 5.3062
Hf Bi Mo
8 2 2
direct
0.0663 0.7074 0.9309 Hf
0.1934 0.3709 0.6433 Hf
0.2926 0.9337 0.5691 Hf
0.3709 0.1934 0.1433 Hf
0.6291 0.8066 0.8567 Hf
0.7074 0.0663 0.4309 Hf
0.8066 0.6291 0.3567 Hf
0.9337 0.2926 0.0691 Hf
0.3832 0.6168 0.2500 Bi
0.6168 0.3832 0.7500 Bi
0.0000 0.0000 0.2500 Mo
0.0000 0.0000 0.7500 Mo
```